The following is a theoretical XRD peak list of La2Pr2C2Cl5. It was derived from the GGA-PBE geometry in OQMD, using copper Kα.
Intensities are scaled so that the largest is 100.

Main lines, in order of rising 2θ (2θ = 10–90°):
7.240 Å, rel. 58, hkl 0 1 1; 4.704 Å, rel. 31, hkl 0 1 3; 3.620 Å, rel. 29, hkl 0 2 2; 3.264 Å, rel. 74, hkl 1 0 3; 2.918 Å, rel. 61, hkl 0 0 6; 2.760 Å, rel. 100, hkl 1 2 1; 2.413 Å, rel. 39, hkl 0 3 3; 2.184 Å, rel. 55, hkl 1 2 5; 1.965 Å, rel. 21, hkl 2 0 0; 1.864 Å, rel. 23, hkl 1 2 7

Structure:
a = 3.9305 Å, b = 7.9517 Å, c = 17.5054 Å
α = 90.00°, β = 90.00°, γ = 90.00°
Space group Immm (No. 71)
Asymmetric unit:
La (0.0000, 0.0000, 0.1712)
Pr (0.0000, 0.2881, 0.5000)
C (0.0000, 0.0000, 0.0407)
Cl (0.0000, 0.2266, 0.3339)
Cl (0.0000, 0.5000, 0.0000)